Entry 1:
This entry pairs a crystal structure of Y8Er6Tm with its simulated X-ray powder pattern. Radiation: Cu Ka. Structure: a DFT-relaxed cell (GGA-PBE, Alexandria).
No peak broadening, texture or thermal motion is included.

Most intense lines, 10 to 80 degrees two-theta, by angle:
2θ (°)	I (rel.)
13.46	16
25.91	25
29.30	33
32.36	64
33.33	100
40.33	11
49.24	9
51.28	24
53.91	11
59.59	12
62.55	13
66.02	16

Atomic structure:
```
15
Lattice="9.317 0.000 0.000 -4.659 8.069 0.000 0.000 0.000 6.578" Properties=species:S:1:pos:R:3 pbc="T T T"
Y -1.322 2.698 2.593
Y -1.661 7.865 2.593
Y 0.000 5.379 4.477
Y 1.675 2.494 3.985
Y 2.983 5.575 2.593
Y 4.659 2.690 2.101
Y 6.320 0.204 3.985
Y 5.981 5.371 3.985
Er -2.364 5.470 0.633
Er 1.104 3.287 0.633
Er 3.398 0.687 5.945
Er 1.260 7.382 0.633
Er 3.555 4.782 5.945
Er 7.023 2.599 5.945
Tm 0.000 0.000 0.000
```



Entry 2:
This entry pairs a crystal structure of V3CoGe with its simulated X-ray powder pattern. Radiation: Cu Ka. Structure: a DFT-relaxed cell (GGA-PBE, Alexandria).
No peak broadening, texture or thermal motion is included.

Most intense lines, 10 to 80 degrees two-theta, by angle:
2θ (°)	I (rel.)
21.29	56
30.80	35
34.23	52
39.62	53
41.69	61
41.81	100
43.36	92
44.88	64
49.53	37
50.18	41
52.39	30
64.17	41

Atomic structure:
```
10
Lattice="-4.174 3.365 2.525 4.174 -3.365 2.525 4.174 3.365 -2.525" Properties=species:S:1:pos:R:3 pbc="T T T"
V 0.007 1.338 0.000
V 4.167 1.338 0.000
V 2.087 2.759 1.561
V 0.007 2.028 2.525
V 4.167 2.028 2.525
V -2.087 3.971 1.561
Co 2.087 -1.498 3.210
Co 2.087 4.863 0.685
Ge 2.087 3.089 -0.955
Ge 2.087 0.276 1.570
```



Entry 3:
This entry pairs a crystal structure of BaIn3Au3 with its simulated X-ray powder pattern. Radiation: Cu Ka. Structure: a DFT-relaxed cell (GGA-PBE, Alexandria).
No peak broadening, texture or thermal motion is included.

Most intense lines, 10 to 80 degrees two-theta, by angle:
2θ (°)	I (rel.)
16.38	14
19.40	40
23.10	22
25.00	18
25.49	17
30.34	15
33.93	83
37.31	20
38.66	100
40.99	21
46.15	18
52.37	19

Atomic structure:
```
14
Lattice="4.576 2.642 5.411 -4.576 2.642 5.411 0.000 -5.284 5.411" Properties=species:S:1:pos:R:3 pbc="T T T"
Ba 0.000 0.000 2.830
Ba 0.000 0.000 13.403
In -1.257 -2.405 6.085
In -2.711 -0.114 10.147
In -1.455 2.291 6.085
In 1.455 -2.291 10.147
In 2.711 0.114 6.085
In 1.257 2.405 10.147
Au -2.530 -0.009 7.329
Au -1.257 -2.195 8.904
Au 1.273 -2.186 7.329
Au -1.273 2.186 8.904
Au 1.257 2.195 7.329
Au 2.530 0.009 8.904
```



Entry 4:
This entry pairs a crystal structure of Nb3FeS6 with its simulated X-ray powder pattern. Radiation: Cu Ka. Structure: a DFT-relaxed cell (GGA-PBE, Alexandria).
No peak broadening, texture or thermal motion is included.

Most intense lines, 10 to 80 degrees two-theta, by angle:
2θ (°)	I (rel.)
15.20	54
19.30	12
30.95	43
31.91	17
34.65	61
38.84	15
44.14	100
55.06	38
57.47	10
64.54	9
73.12	21
75.05	9

Atomic structure:
```
20
Lattice="5.778 0.000 0.000 -2.889 5.004 0.000 0.000 0.000 11.658" Properties=species:S:1:pos:R:3 pbc="T T T"
Nb 0.000 0.000 0.000
Nb 0.000 0.000 5.829
Nb 0.000 3.336 0.056
Nb 0.000 3.336 5.773
Nb 2.889 1.668 5.885
Nb 2.889 1.668 11.602
Fe 0.000 3.336 8.743
Fe 2.889 1.668 2.914
S -0.935 1.695 7.411
S -1.889 3.347 10.076
S 0.935 1.695 10.076
S -0.954 4.966 7.411
S 1.935 0.038 4.247
S 1.000 1.657 1.582
S 1.889 3.347 7.411
S 0.954 4.966 10.076
S 3.843 0.038 1.582
S 1.954 3.309 4.247
S 4.778 1.657 4.247
S 3.824 3.309 1.582
```



Entry 5:
This entry pairs a crystal structure of NdPuIn2Te4 with its simulated X-ray powder pattern. Radiation: Cu Ka. Structure: a DFT-relaxed cell (GGA-PBE, Alexandria).
No peak broadening, texture or thermal motion is included.

Most intense lines, 10 to 80 degrees two-theta, by angle:
2θ (°)	I (rel.)
10.95	11
27.23	100
37.62	40
40.13	36
44.87	7
49.18	20
56.18	12
61.76	17
65.27	17
66.20	6
71.26	12
72.92	6

Atomic structure:
```
8
Lattice="7.786 0.000 0.000 0.000 4.493 0.000 -2.596 0.000 8.079" Properties=species:S:1:pos:R:3 pbc="T T T"
Nd 0.000 0.000 0.000
Pu 3.893 2.247 0.000
In -1.298 2.247 4.040
In 2.595 0.000 4.040
Te 1.318 2.247 1.832
Te 0.032 0.000 6.282
Te 5.158 0.000 1.797
Te 3.872 2.247 6.247
```



Entry 6:
This entry pairs a crystal structure of Hg2AsO4 with its simulated X-ray powder pattern. Radiation: Cu Ka. Structure: a DFT-relaxed cell (GGA-PBE, Alexandria).
No peak broadening, texture or thermal motion is included.

Most intense lines, 10 to 80 degrees two-theta, by angle:
2θ (°)	I (rel.)
19.07	16
21.14	55
23.78	24
30.07	49
32.02	100
38.69	27
43.04	24
48.42	17
49.76	14
53.61	12
54.64	45
58.27	21

Atomic structure:
```
7
Lattice="-2.972 2.972 3.742 2.972 -2.972 3.742 2.972 2.972 -3.742" Properties=species:S:1:pos:R:3 pbc="T T T"
Hg 2.972 0.000 1.871
Hg 0.000 2.972 1.871
As 0.000 0.000 0.000
O 1.034 1.034 -0.955
O 1.938 -1.938 4.698
O 1.938 1.938 2.787
O -1.938 1.938 4.698
```



Entry 7:
This entry pairs a crystal structure of Zr6GaC4 with its simulated X-ray powder pattern. Radiation: Cu Ka. Structure: a DFT-relaxed cell (GGA-PBE, Alexandria).
No peak broadening, texture or thermal motion is included.

Most intense lines, 10 to 80 degrees two-theta, by angle:
2θ (°)	I (rel.)
31.41	16
33.35	16
34.26	100
36.00	19
37.09	50
38.86	14
52.94	13
54.00	14
55.30	8
55.36	10
64.32	12
65.55	15

Atomic structure:
```
22
Lattice="1.698 -5.639 0.000 1.698 5.639 0.000 0.000 0.000 17.699" Properties=species:S:1:pos:R:3 pbc="T T T"
Zr 0.000 0.000 0.000
Zr 0.000 0.000 8.849
Zr 1.698 3.960 13.274
Zr 1.698 2.546 1.380
Zr 1.698 2.546 7.470
Zr 1.698 0.416 11.497
Zr 1.698 0.416 15.051
Zr 1.698 -0.416 2.648
Zr 1.698 -0.416 6.202
Zr 1.698 -2.546 10.229
Zr 1.698 -2.546 16.319
Zr 1.698 -3.960 4.425
Ga 1.698 3.833 4.425
Ga 1.698 -3.833 13.274
C 1.698 4.625 11.020
C 1.698 4.625 15.529
C 1.698 1.565 9.559
C 1.698 1.565 16.989
C 1.698 -1.565 0.710
C 1.698 -1.565 8.140
C 1.698 -4.625 2.170
C 1.698 -4.625 6.679
```



Entry 8:
This entry pairs a crystal structure of AcTb5NdY2 with its simulated X-ray powder pattern. Radiation: Cu Ka. Structure: a DFT-relaxed cell (GGA-PBE, Alexandria).
No peak broadening, texture or thermal motion is included.

Most intense lines, 10 to 80 degrees two-theta, by angle:
2θ (°)	I (rel.)
16.30	16
27.23	18
29.35	17
29.53	16
31.11	73
32.08	100
33.06	43
44.02	11
44.15	11
56.57	15
57.18	10
58.48	10

Atomic structure:
```
18
Lattice="2.791 -12.001 0.000 2.791 12.001 0.000 0.000 0.000 9.377" Properties=species:S:1:pos:R:3 pbc="T T T"
Ac 2.791 9.549 4.688
Ac 2.791 -9.549 0.000
Tb 2.791 11.435 7.660
Tb 2.791 9.562 0.923
Tb 2.791 7.405 7.495
Tb 2.791 6.184 4.102
Tb 2.791 0.166 5.536
Tb 2.791 -0.166 0.848
Tb 2.791 -6.184 8.790
Tb 2.791 -7.405 2.807
Tb 2.791 -9.562 5.611
Tb 2.791 -11.435 2.972
Nd 2.791 5.763 1.027
Nd 2.791 -5.763 5.715
Y 2.791 4.028 7.006
Y 2.791 2.696 3.292
Y 2.791 -2.696 7.980
Y 2.791 -4.028 2.318
```



Entry 9:
This entry pairs a crystal structure of Pr2ErTe3 with its simulated X-ray powder pattern. Radiation: Cu Ka. Structure: a DFT-relaxed cell (GGA-PBE, Alexandria).
No peak broadening, texture or thermal motion is included.

Most intense lines, 10 to 80 degrees two-theta, by angle:
2θ (°)	I (rel.)
28.29	100
39.77	13
40.45	50
41.03	12
49.55	14
50.61	13
58.47	8
65.30	6
66.22	11
66.32	11
72.66	8
74.36	8

Atomic structure:
```
24
Lattice="0.000 6.300 13.198 4.533 0.000 13.198 4.533 6.300 0.000" Properties=species:S:1:pos:R:3 pbc="T T T"
Pr 1.133 1.575 1.234
Pr 3.399 4.725 3.240
Pr 1.133 1.575 5.365
Pr 5.666 7.876 9.839
Pr 3.399 4.725 16.557
Pr 7.932 11.026 21.031
Pr 5.666 7.876 23.156
Pr 7.932 11.026 25.162
Er 3.399 4.725 7.727
Er 3.399 4.725 12.070
Er 5.666 7.876 14.326
Er 5.666 7.876 18.669
Te 3.460 1.652 7.613
Te 5.514 4.725 9.899
Te 3.339 1.652 12.184
Te 5.605 4.802 14.212
Te 7.780 7.876 16.498
Te 5.726 4.802 18.784
Te 3.339 7.799 7.613
Te 1.285 4.725 9.899
Te 3.460 7.799 12.184
Te 5.726 10.949 14.212
Te 3.551 7.876 16.498
Te 5.605 10.949 18.784
```



Entry 10:
This entry pairs a crystal structure of Cu8Pd2Au3 with its simulated X-ray powder pattern. Radiation: Cu Ka. Structure: a DFT-relaxed cell (GGA-PBE, Alexandria).
No peak broadening, texture or thermal motion is included.

Most intense lines, 10 to 80 degrees two-theta, by angle:
2θ (°)	I (rel.)
21.59	16
26.45	50
37.45	73
40.80	100
42.10	72
43.99	29
46.46	44
67.57	13
69.83	40
70.74	16
72.00	16
79.90	23

Atomic structure:
```
13
Lattice="2.401 1.386 9.576 -2.401 1.386 9.576 0.000 -2.773 9.576" Properties=species:S:1:pos:R:3 pbc="T T T"
Cu 0.000 0.000 6.540
Cu 0.000 -1.379 11.467
Cu -1.194 0.689 11.467
Cu -1.194 -0.689 17.263
Cu 1.194 0.689 11.467
Cu 1.194 -0.689 17.263
Cu 0.000 1.379 17.263
Cu 0.000 0.000 22.190
Pd 0.000 0.000 4.052
Pd 0.000 0.000 24.677
Au 0.000 0.000 9.122
Au 0.000 0.000 14.365
Au 0.000 0.000 19.607
```



Entry 11:
This entry pairs a crystal structure of Na5B7C3 with its simulated X-ray powder pattern. Radiation: Cu Ka. Structure: a DFT-relaxed cell (GGA-PBE, Alexandria).
No peak broadening, texture or thermal motion is included.

Most intense lines, 10 to 80 degrees two-theta, by angle:
2θ (°)	I (rel.)
35.00	11
36.18	17
41.04	50
42.08	100
42.24	38
56.81	10
63.54	18
65.83	8
76.42	6
77.12	13
77.77	6
79.29	17

Atomic structure:
```
30
Lattice="8.935 -1.419 0.000 8.935 1.419 0.000 -5.249 0.000 12.278" Properties=species:S:1:pos:R:3 pbc="T T T"
Na 0.000 0.000 0.000
Na 15.254 0.000 6.100
Na 1.461 0.000 4.873
Na -1.137 0.000 11.034
Na 2.882 0.000 9.845
Na 5.587 0.000 3.658
Na 9.659 0.000 2.436
Na 7.068 0.000 8.565
Na 11.118 0.000 7.334
Na 13.779 0.000 1.211
B -1.055 0.000 3.879
B 2.562 0.000 1.082
B 0.345 0.000 8.619
B 4.030 0.000 5.961
B 4.501 0.000 7.544
B 7.154 0.000 1.505
B 5.462 0.000 10.788
B 8.586 0.000 6.256
B 11.215 0.000 0.149
B 12.178 0.000 3.331
B 9.575 0.000 9.620
B 12.669 0.000 4.969
B 10.118 0.000 11.400
B 13.730 0.000 8.569
C -3.709 0.000 10.040
C -0.119 0.000 7.054
C 3.023 0.000 2.599
C 1.424 0.000 12.179
C 8.122 0.000 4.664
C 16.323 0.000 2.287
```